[1]
Diffraction record for LaCuSn2Pd. The XRD peak list is computed, not measured: it uses a structure optimized by DFT (PBE) and Cu Kα X-rays.
Kinematic intensities with the Lorentz-polarization factor, no thermal factor.

Atomic structure:
```
data_LaCuSn2Pd
_chemical_formula_sum 'La2 Cu2 Sn4 Pd2'
_cell_length_a 4.534
_cell_length_b 4.534
_cell_length_c 10.919
_cell_angle_alpha 90.00
_cell_angle_beta 90.00
_cell_angle_gamma 90.00
_space_group_name_H-M_alt 'P 1'
_space_group_IT_number 1
_space_group_name_Hall 'P 1'
loop_
_atom_site_label
_atom_site_fract_x
_atom_site_fract_y
_atom_site_fract_z
La1 0.250 0.250 0.238
La2 0.750 0.750 0.762
Cu1 0.250 0.750 0.000
Cu2 0.750 0.250 0.000
Sn1 0.250 0.250 0.877
Sn2 0.250 0.750 0.500
Sn3 0.750 0.250 0.500
Sn4 0.750 0.750 0.123
Pd1 0.250 0.250 0.636
Pd2 0.750 0.750 0.364
```

The 10 most intense peaks (10° ≤ 2θ ≤ 90°), low angle first:
2θ/deg  d_spacing  I_rel  hkl
27.8  3.206  20  1 1 0
31.5  2.838  75  1 0 3
32.4  2.765  100  1 1 2
39.8  2.267  78  2 0 0
43.5  2.078  32  1 1 4
46.1  1.968  30  1 0 5
51.6  1.771  37  2 1 3
57.5  1.603  26  2 2 0
62.5  1.486  24  2 1 5
67.5  1.387  24  3 1 2

---

[2]
Diffraction record for DyTm2Te3. The XRD peak list is computed, not measured: it uses a structure optimized by DFT (PBE) and Cu Kα X-rays.
Kinematic intensities with the Lorentz-polarization factor, no thermal factor.

Atomic structure:
```
data_DyTm2Te3
_chemical_formula_sum 'Dy1 Tm2 Te3'
_cell_length_a 4.310
_cell_length_b 4.310
_cell_length_c 10.575
_cell_angle_alpha 90.00
_cell_angle_beta 90.00
_cell_angle_gamma 120.00
_space_group_name_H-M_alt 'P 1'
_space_group_IT_number 1
_space_group_name_Hall 'P 1'
loop_
_atom_site_label
_atom_site_fract_x
_atom_site_fract_y
_atom_site_fract_z
Dy1 0.000 0.000 0.000
Tm1 0.333 0.667 0.666
Tm2 0.667 0.333 0.334
Te1 0.000 0.000 0.500
Te2 0.333 0.667 0.171
Te3 0.667 0.333 0.829
```

The 10 most intense peaks (10° ≤ 2θ ≤ 90°), low angle first:
2θ/deg  d_spacing  I_rel  hkl
25.3  3.521  4  0 0 3
29.3  3.050  100  0 1 2
41.9  2.156  76  1 1 0
49.6  1.839  2  0 1 5
51.9  1.761  27  2 0 2
60.7  1.525  13  0 2 4
68.8  1.364  35  1 2 2
76.5  1.245  19  2 1 4
76.6  1.244  6  3 0 0
82.1  1.174  1  1 2 5